Starting from a crystal structure in Alexandria, relaxed with PBE+U, the powder diffractogram of CeBMoO6 was simulated for Cu Kα (weighted mean of Kα1 and Kα2).

Largest 6 diffraction maxima, low angle first, 10° ≤ 2θ ≤ 80°:
hkl  2theta  d/Å  I_rel
2 0 0  19.2  4.628  25
3 0 -2  25.9  3.438  100
0 1 2  26.9  3.314  32
2 1 0  28.7  3.111  31
1 0 -4  30.0  2.979  27
5 0 -2  43.9  2.063  24

Structure:
a b c (Å): 10.3951 4.2007 12.1152
angles (deg): 90.00 117.07 90.00
Space group P2_1/c (No. 14)
One atom of each set of equivalent atoms:
Ce 0.1983 0.1754 0.0356 (multiplicity 4)
B 0.0025 0.6780 0.8074 (multiplicity 4)
Mo 0.3539 0.7338 0.8135 (multiplicity 4)
O 0.0015 0.2130 0.0896 (multiplicity 4)
O 0.0314 0.1462 0.3012 (multiplicity 4)
O 0.2583 0.6828 0.1423 (multiplicity 4)
O 0.2599 0.6856 0.4048 (multiplicity 4)
O 0.3340 0.1915 0.2903 (multiplicity 4)
O 0.4558 0.2038 0.1049 (multiplicity 4)